Diffraction record for K2Mn2Br7. The XRD peak list is calculated, not measured: it uses DFT lattice parameters and positions (PBE) and λ = 1.5418 Å (Cu Kα).
No peak broadening, texture or thermal motion is included.

```
K2Mn2Br7
1.0
5.3295 -6.8407 0.0000
5.3295 6.8407 0.0000
-0.9982 0.0000 6.1340
K Mn Br
2 2 7
direct
0.2017 0.7983 0.0000
0.7983 0.2017 0.0000
0.2768 0.2768 0.5859
0.7232 0.7232 0.4141
0.1062 0.4201 0.7582
0.1114 0.1114 0.2707
0.4201 0.1062 0.7582
0.5000 0.5000 0.5000
0.5799 0.8938 0.2418
0.8886 0.8886 0.7293
0.8938 0.5799 0.2418
```

Top 6 peaks for 2θ = 15–90°, in order of falling intensity:
2θ/deg, Rel. int.
24.98, 100
27.97, 97
19.44, 95
19.02, 75
26.54, 71
20.40, 52